[1]
# YFeHg2
Calculated X-ray diffraction stick pattern, Cu Kα (weighted mean of Kα1 and Kα2). Input: a PBE-relaxed structure.
Neutral-atom scattering factors, no anomalous dispersion.

Largest 10 diffraction maxima, low angle first, 5° ≤ 2θ ≤ 70°:
d 4.148, I = 17, (0 0 2); d 3.196, I = 19, (1 1 0); d 2.532, I = 100, (1 1 2); d 2.260, I = 36, (2 0 0); d 2.074, I = 14, (0 0 4); d 1.984, I = 11, (2 0 2); d 1.740, I = 7, (1 1 4); d 1.598, I = 12, (2 2 0); d 1.528, I = 21, (2 0 4); d 1.351, I = 28, (3 1 2)

Atomic structure:
Cell lengths 4.520, 4.520, 8.296 Å; angles 90.00, 90.00, 90.00 degrees
Space group I4/mmm (No. 139)
Inequivalent atoms, fractional coordinates:
Y1 0.000 0.000 0.000
Fe1 0.000 0.000 0.500
Hg1 0.000 0.500 0.250

[2]
# Zn2FeHg
Calculated X-ray diffraction stick pattern, Cu Kα (weighted mean of Kα1 and Kα2). Input: a PBE-relaxed structure.
Neutral-atom scattering factors, no anomalous dispersion.

Largest 10 diffraction maxima, low angle first, 5° ≤ 2θ ≤ 70°:
d 5.111, I = 12, (0 0 1); d 4.415, I = 10, (0 1 0); d 3.341, I = 22, (0 1 1); d 2.836, I = 6, (1 0 0); d 2.417, I = 26, (1 0 1); d 2.209, I = 100, (0 2 0); d 1.630, I = 15, (1 2 1); d 1.502, I = 5, (1 0 -3); d 1.354, I = 7, (1 1 3); d 1.350, I = 11, (2 1 0)

Atomic structure:
Cell lengths 2.842, 4.415, 5.120 Å; angles 90.00, 93.55, 90.00 degrees
Space group P2/m (No. 10)
Inequivalent atoms, fractional coordinates:
Zn1 0.234 0.000 0.217
Fe1 0.500 0.500 0.000
Hg1 0.000 0.500 0.500

[3]
# Ho2Fe17
Calculated X-ray diffraction stick pattern, Cu Kα (weighted mean of Kα1 and Kα2). Input: a PBE-relaxed structure.
Neutral-atom scattering factors, no anomalous dispersion.

Largest 10 diffraction maxima, low angle first, 5° ≤ 2θ ≤ 70°:
d 2.947, I = 41, (1 1 2); d 2.439, I = 42, (3 0 0); d 2.194, I = 30, (2 0 3); d 2.112, I = 58, (2 2 0); d 2.098, I = 100, (3 0 2); d 2.057, I = 30, (0 0 4); d 1.947, I = 15, (2 1 3); d 1.879, I = 15, (2 2 2); d 1.489, I = 15, (4 1 2); d 1.474, I = 17, (2 2 4)

Atomic structure:
Cell lengths 8.4500, 8.4500, 8.2272 Å; angles 90.00, 90.00, 120.00 degrees
Space group P6_3/mmc (No. 194)
Inequivalent atoms, fractional coordinates:
Ho1 0.0000 0.0000 0.2500
Ho2 0.3333 0.6667 0.2500
Fe1 0.0000 0.5000 0.0000
Fe2 0.0387 0.3678 0.7500
Fe3 0.1657 0.3315 0.0156
Fe4 0.3333 0.6667 0.6064

[4]
# HoFe3
Calculated X-ray diffraction stick pattern, Cu Kα (weighted mean of Kα1 and Kα2). Input: a PBE-relaxed structure.
Neutral-atom scattering factors, no anomalous dispersion.

Largest 10 diffraction maxima, low angle first, 5° ≤ 2θ ≤ 70°:
d 4.321, I = 15, (1 0 1); d 2.714, I = 53, (1 0 7); d 2.535, I = 58, (1 1 0); d 2.489, I = 36, (0 1 8); d 2.187, I = 39, (0 2 1); d 2.146, I = 100, (1 1 6); d 1.496, I = 18, (2 1 7); d 1.455, I = 13, (1 2 8); d 1.376, I = 23, (3 0 6); d 1.357, I = 13, (2 0 14)

Atomic structure:
Cell lengths 5.0707, 5.0707, 24.1648 Å; angles 90.00, 90.00, 120.00 degrees
Space group R-3m (No. 166, hexagonal axes)
Inequivalent atoms, fractional coordinates:
Ho1 0.0000 0.0000 0.0000
Ho2 0.0000 0.0000 0.1418
Fe1 0.0000 0.0000 0.3328
Fe2 0.0000 0.0000 0.5000
Fe3 0.0000 0.5000 0.0816

Question: Which formula does entry 3 have?
Answer: Ho2Fe17

Question: Which formula does entry 3 have?
Answer: Ho2Fe17

Repeat the fourth record exactly.
# HoFe3
Calculated X-ray diffraction stick pattern, Cu Kα (weighted mean of Kα1 and Kα2). Input: a PBE-relaxed structure.
Neutral-atom scattering factors, no anomalous dispersion.

Largest 10 diffraction maxima, low angle first, 5° ≤ 2θ ≤ 70°:
d 4.321, I = 15, (1 0 1); d 2.714, I = 53, (1 0 7); d 2.535, I = 58, (1 1 0); d 2.489, I = 36, (0 1 8); d 2.187, I = 39, (0 2 1); d 2.146, I = 100, (1 1 6); d 1.496, I = 18, (2 1 7); d 1.455, I = 13, (1 2 8); d 1.376, I = 23, (3 0 6); d 1.357, I = 13, (2 0 14)

Atomic structure:
Cell lengths 5.0707, 5.0707, 24.1648 Å; angles 90.00, 90.00, 120.00 degrees
Space group R-3m (No. 166, hexagonal axes)
Inequivalent atoms, fractional coordinates:
Ho1 0.0000 0.0000 0.0000
Ho2 0.0000 0.0000 0.1418
Fe1 0.0000 0.0000 0.3328
Fe2 0.0000 0.0000 0.5000
Fe3 0.0000 0.5000 0.0816